Entry 1:
Starting from DFT lattice parameters and positions (GGA+U), the powder diffractogram of Sr2LaMn2O7 was simulated for λ = 1.5418 Å (Cu Kα).
No peak broadening, texture or thermal motion is included.

Largest 8 diffraction maxima, sorted by position, 2θ = 15–90°:
2θ/deg  I (rel.)
31.79  100
32.16  70
42.18  26
45.01  13
46.12  42
56.39  14
57.10  38
66.41  14

Crystal structure
```
Sr2LaMn2O7
1.0
-1.968 1.968 10.070
1.968 -1.968 10.070
1.968 1.968 -10.070
Sr La Mn O
2 1 2 7
Direct
0.000 0.000 0.000
0.176 0.176 0.000
0.812 0.812 0.000
0.399 0.399 0.000
0.594 0.594 0.000
0.093 0.593 0.500
0.299 0.299 0.000
0.393 0.893 0.500
0.494 0.494 0.000
0.593 0.093 0.500
0.696 0.696 0.000
0.893 0.393 0.500
```


Entry 2:
Starting from DFT lattice parameters and positions (GGA+U), the powder diffractogram of Sr2La2Mn4O11 was simulated for λ = 1.5418 Å (Cu Kα).
No peak broadening, texture or thermal motion is included.

Largest 8 diffraction maxima, sorted by position, 2θ = 15–90°:
2θ/deg  I (rel.)
31.83  46
32.26  100
39.61  24
45.64  34
46.89  15
56.98  38
57.79  17
67.50  19

Crystal structure
```
Sr2La2Mn4O11
1.0
-2.811 2.811 7.751
2.811 -2.811 7.751
2.811 2.811 -7.751
Sr La Mn O
2 2 4 11
Direct
0.000 0.500 0.500
0.500 0.000 0.500
0.250 0.750 0.500
0.750 0.250 0.500
0.121 0.121 0.000
0.371 0.371 0.000
0.629 0.629 0.000
0.879 0.879 0.000
0.000 0.000 0.000
0.133 0.133 0.516
0.133 0.617 0.000
0.242 0.242 0.000
0.383 0.383 0.516
0.383 0.867 0.000
0.617 0.133 0.000
0.617 0.617 0.484
0.758 0.758 0.000
0.867 0.383 0.000
0.867 0.867 0.484
```


Entry 3:
Starting from DFT lattice parameters and positions (GGA+U), the powder diffractogram of Sr3LaTi2Mn2O12 was simulated for λ = 1.5418 Å (Cu Kα).
No peak broadening, texture or thermal motion is included.

Largest 8 diffraction maxima, sorted by position, 2θ = 15–90°:
2θ/deg  I (rel.)
32.26  100
39.76  14
46.27  38
57.49  28
57.63  9
67.43  11
67.59  11
76.75  8

Crystal structure
```
Sr3LaTi2Mn2O12
1.0
2.778 1.604 9.044
-2.778 1.604 9.044
0.000 -3.208 9.044
Sr La Ti Mn O
3 1 2 2 12
Direct
0.000 0.000 0.000
0.249 0.249 0.249
0.751 0.751 0.751
0.500 0.500 0.500
0.375 0.375 0.375
0.625 0.625 0.625
0.125 0.125 0.125
0.875 0.875 0.875
0.000 0.000 0.500
0.000 0.500 0.000
0.000 0.500 0.500
0.254 0.745 0.745
0.255 0.255 0.746
0.255 0.746 0.255
0.500 0.000 0.000
0.500 0.000 0.500
0.500 0.500 0.000
0.745 0.254 0.745
0.745 0.745 0.254
0.746 0.255 0.255
```


Entry 4:
Starting from DFT lattice parameters and positions (GGA+U), the powder diffractogram of Sr5La3Mn4W4O24 was simulated for λ = 1.5418 Å (Cu Kα).
No peak broadening, texture or thermal motion is included.

Largest 8 diffraction maxima, sorted by position, 2θ = 15–90°:
2θ/deg  I (rel.)
18.75  26
18.99  24
30.63  32
30.99  34
31.15  100
31.22  33
55.28  22
55.49  22

Crystal structure
```
Sr5La3Mn4W4O24
1.0
8.151 0.000 0.000
-0.148 8.210 0.000
-3.978 -4.075 8.083
Sr La Mn W O
5 3 4 4 24
Direct
0.000 0.000 0.000
0.015 0.496 0.999
0.308 0.212 0.501
0.516 0.005 0.002
0.804 0.718 0.500
0.293 0.701 0.494
0.493 0.488 0.996
0.795 0.197 0.496
0.153 0.608 0.750
0.405 0.350 0.250
0.653 0.104 0.750
0.905 0.852 0.247
0.156 0.103 0.750
0.404 0.853 0.250
0.656 0.605 0.751
0.902 0.354 0.248
0.061 0.036 0.513
0.142 0.367 0.792
0.152 0.873 0.206
0.169 0.347 0.301
0.176 0.836 0.696
0.242 0.169 0.982
0.344 0.754 0.008
0.349 0.589 0.206
0.400 0.548 0.708
0.422 0.171 0.791
0.472 0.938 0.498
0.478 0.122 0.303
0.564 0.540 0.516
0.636 0.380 0.198
0.638 0.857 0.793
0.663 0.845 0.300
0.675 0.350 0.704
0.735 0.663 0.984
0.826 0.261 0.011
0.843 0.097 0.220
0.886 0.054 0.706
0.909 0.663 0.793
0.961 0.439 0.485
0.974 0.619 0.294
```